For GaCu12Ni7, a crystal structure in Alexandria, relaxed with GGA-PBE gives the calculated powder diffractogram in this record (Cu Kα, 1.54184 Å).

Atomic structure:
Cell lengths 6.608, 6.608, 6.608 Å; angles 106.96, 106.96, 106.96 degrees
Sites, in units of the cell vectors:
1 Ga 0.000 0.000 0.000
2 Cu 0.042 0.303 0.409
3 Cu 0.228 0.666 0.371
4 Cu 0.303 0.409 0.042
5 Cu 0.334 0.629 0.772
6 Cu 0.371 0.228 0.666
7 Cu 0.409 0.042 0.303
8 Cu 0.591 0.958 0.697
9 Cu 0.629 0.772 0.334
10 Cu 0.666 0.371 0.228
11 Cu 0.697 0.591 0.958
12 Cu 0.772 0.334 0.629
13 Cu 0.958 0.697 0.591
14 Ni 0.014 0.898 0.325
15 Ni 0.102 0.675 0.986
16 Ni 0.325 0.014 0.898
17 Ni 0.500 0.500 0.500
18 Ni 0.675 0.986 0.102
19 Ni 0.898 0.325 0.014
20 Ni 0.986 0.102 0.675

Most intense lines, 2θ = 10–80°, sorted by position:
2θ (°), d (Å), intensity
29.13, 3.066, 6
40.38, 2.234, 38
43.10, 2.099, 14
45.17, 2.007, 100
46.52, 1.952, 5
47.36, 1.920, 46
50.56, 1.805, 28
59.41, 1.556, 10
75.17, 1.264, 14
77.55, 1.231, 7

---

For Ce3Tl3PtS8, a crystal structure in Alexandria, relaxed with GGA-PBE gives the calculated powder diffractogram in this record (Cu Kα, 1.54184 Å).

Atomic structure:
Cell lengths 8.207, 8.207, 8.885 Å; angles 118.51, 118.51, 56.88 degrees
Sites, in units of the cell vectors:
1 Ce 0.000 0.000 0.000
2 Ce 0.000 0.500 0.000
3 Ce 0.500 0.000 0.000
4 Tl 0.000 0.500 0.500
5 Tl 0.500 0.000 0.500
6 Tl 0.500 0.500 0.500
7 Pt 0.500 0.500 0.000
8 S 0.196 0.196 0.757
9 S 0.231 0.231 0.206
10 S 0.267 0.697 0.172
11 S 0.303 0.733 0.828
12 S 0.697 0.267 0.172
13 S 0.733 0.303 0.828
14 S 0.769 0.769 0.794
15 S 0.804 0.804 0.243

Most intense lines, 2θ = 10–80°, sorted by position:
2θ (°), d (Å), intensity
13.48, 6.569, 21
23.85, 3.731, 46
25.93, 3.436, 38
27.15, 3.285, 62
29.48, 3.030, 54
30.51, 2.930, 100
40.77, 2.213, 18
41.64, 2.169, 39
44.21, 2.049, 33
48.51, 1.877, 19

---

For P3IF12, a crystal structure in Alexandria, relaxed with GGA-PBE gives the calculated powder diffractogram in this record (Cu Kα, 1.54184 Å).

Atomic structure:
Cell lengths 9.734, 9.734, 9.734 Å; angles 55.16, 55.16, 55.16 degrees
Sites, in units of the cell vectors:
1 P 0.061 0.750 0.439
2 P 0.250 0.561 0.939
3 P 0.439 0.061 0.750
4 P 0.561 0.939 0.250
5 P 0.750 0.439 0.061
6 P 0.939 0.250 0.561
7 I 0.250 0.250 0.250
8 I 0.750 0.750 0.750
9 F 0.030 0.633 0.039
10 F 0.039 0.030 0.633
11 F 0.096 0.740 0.266
12 F 0.133 0.530 0.539
13 F 0.234 0.760 0.404
14 F 0.240 0.596 0.766
15 F 0.260 0.734 0.904
16 F 0.266 0.096 0.740
17 F 0.367 0.961 0.970
18 F 0.404 0.234 0.760
19 F 0.461 0.867 0.470
20 F 0.470 0.461 0.867
21 F 0.530 0.539 0.133
22 F 0.539 0.133 0.530
23 F 0.596 0.766 0.240
24 F 0.633 0.039 0.030
25 F 0.734 0.904 0.260
26 F 0.740 0.266 0.096
27 F 0.760 0.404 0.234
28 F 0.766 0.240 0.596
29 F 0.867 0.470 0.461
30 F 0.904 0.260 0.734
31 F 0.961 0.970 0.367
32 F 0.970 0.367 0.961

Most intense lines, 2θ = 10–80°, sorted by position:
2θ (°), d (Å), intensity
13.42, 6.596, 73
18.33, 4.840, 45
21.61, 4.113, 67
22.50, 3.952, 67
23.91, 3.721, 21
31.17, 2.869, 100
33.67, 2.662, 33
34.47, 2.602, 26
41.05, 2.199, 27
42.39, 2.132, 32

---

For Th8BiTe4As3, a crystal structure in Alexandria, relaxed with GGA-PBE gives the calculated powder diffractogram in this record (Cu Kα, 1.54184 Å).

Atomic structure:
Cell lengths 8.892, 8.892, 8.892 Å; angles 59.04, 59.04, 59.04 degrees
Sites, in units of the cell vectors:
1 Th 0.221 0.754 0.754
2 Th 0.239 0.239 0.239
3 Th 0.246 0.246 0.779
4 Th 0.246 0.779 0.246
5 Th 0.754 0.221 0.754
6 Th 0.754 0.754 0.221
7 Th 0.761 0.761 0.761
8 Th 0.779 0.246 0.246
9 Bi 0.500 0.500 0.500
10 Te 0.000 0.000 0.000
11 Te 0.000 0.500 0.500
12 Te 0.500 0.000 0.500
13 Te 0.500 0.500 0.000
14 As 0.000 0.000 0.500
15 As 0.000 0.500 0.000
16 As 0.500 0.000 0.000

Most intense lines, 2θ = 10–80°, sorted by position:
2θ (°), d (Å), intensity
24.83, 3.586, 13
28.61, 3.120, 100
40.59, 2.223, 36
41.21, 2.191, 38
50.93, 1.793, 20
59.22, 1.560, 11
66.63, 1.404, 14
67.50, 1.388, 16
74.69, 1.271, 11
75.10, 1.265, 6

---

For Tb6Pm3Pr, a crystal structure in Alexandria, relaxed with GGA-PBE gives the calculated powder diffractogram in this record (Cu Kα, 1.54184 Å).

Atomic structure:
Cell lengths 11.019, 11.019, 6.360 Å; angles 90.00, 90.00, 119.80 degrees
Sites, in units of the cell vectors:
1 Tb 0.039 0.961 0.500
2 Tb 0.050 0.469 0.002
3 Tb 0.275 0.725 0.727
4 Tb 0.289 0.378 0.829
5 Tb 0.378 0.289 0.329
6 Tb 0.469 0.050 0.502
7 Tb 0.531 0.950 0.002
8 Tb 0.622 0.711 0.829
9 Tb 0.711 0.622 0.329
10 Tb 0.725 0.275 0.227
11 Tb 0.950 0.531 0.502
12 Tb 0.961 0.039 0.000
13 Pm 0.063 0.290 0.412
14 Pm 0.290 0.063 0.912
15 Pm 0.388 0.612 0.301
16 Pm 0.612 0.388 0.801
17 Pm 0.710 0.937 0.412
18 Pm 0.937 0.710 0.912
19 Pr 0.195 0.805 0.247
20 Pr 0.805 0.195 0.747

Most intense lines, 2θ = 10–80°, sorted by position:
2θ (°), d (Å), intensity
28.03, 3.184, 24
28.42, 3.140, 65
29.61, 3.017, 19
31.44, 2.845, 100
32.45, 2.759, 24
33.84, 2.649, 59
43.74, 2.069, 12
49.87, 1.829, 12
58.02, 1.590, 11
58.88, 1.568, 16